Record 1
YCuCl6: simulated PXRD pattern (CuKα), based on a PBE-relaxed structure.

Structure:
abc: 5.522 6.764 7.168
angles: 68.00 73.07 87.40
Sites, in units of the cell vectors:
Y1 0.000 0.000 0.000
Cu1 0.500 0.500 0.000
Cl1 0.011 0.802 0.377
Cl2 0.284 0.380 0.840
Cl3 0.420 0.829 0.823
Cl4 0.580 0.171 0.177
Cl5 0.716 0.620 0.160
Cl6 0.989 0.198 0.623

Most intense lines, 2θ from 15° to 90°, sorted by position:
Position (°2θ)  I/Imax
20.64  72
21.25  65
22.83  39
24.95  35
25.30  100
28.18  36
30.44  35
36.51  36
38.07  29
44.23  29

---

Record 2
Rb3AsF8: simulated PXRD pattern (CuKα), based on a PBE-relaxed structure.

Structure:
abc: 7.268 7.268 7.268
angles: 130.54 130.54 72.54
Sites, in units of the cell vectors:
Rb1 0.000 0.000 0.000
Rb2 0.250 0.750 0.500
Rb3 0.750 0.250 0.500
As1 0.500 0.500 0.000
F1 0.212 0.212 0.621
F2 0.212 0.591 0.000
F3 0.409 0.409 0.621
F4 0.409 0.788 0.000
F5 0.591 0.212 0.000
F6 0.591 0.591 0.379
F7 0.788 0.409 0.000
F8 0.788 0.788 0.379

Most intense lines, 2θ from 15° to 90°, sorted by position:
Position (°2θ)  I/Imax
25.70  100
29.38  14
42.03  19
42.86  37
49.91  27
51.38  13
52.82  9
68.47  15
77.37  8
82.55  8

---

Record 3
PaTlCu2F8: simulated PXRD pattern (CuKα), based on a PBE-relaxed structure.

Structure:
abc: 8.729 8.729 8.729
angles: 34.14 34.14 34.14
Sites, in units of the cell vectors:
Pa1 0.000 0.000 0.000
Tl1 0.500 0.500 0.500
Cu1 0.222 0.222 0.222
Cu2 0.778 0.778 0.778
F1 0.026 0.401 0.722
F2 0.146 0.146 0.146
F3 0.278 0.974 0.599
F4 0.401 0.722 0.026
F5 0.599 0.278 0.974
F6 0.722 0.026 0.401
F7 0.854 0.854 0.854
F8 0.974 0.599 0.278

Most intense lines, 2θ from 15° to 90°, sorted by position:
Position (°2θ)  I/Imax
21.28  42
21.64  22
24.73  100
35.02  49
35.48  34
41.54  35
41.94  18
43.34  21
56.89  20
79.38  16

---

Record 4
BaNaNp4N8: simulated PXRD pattern (CuKα), based on a PBE-relaxed structure.

Structure:
abc: 6.887 6.887 6.887
angles: 60.43 60.43 60.43
Sites, in units of the cell vectors:
Ba1 0.000 0.000 0.000
Na1 0.384 0.384 0.384
Np1 0.379 0.379 0.887
Np2 0.379 0.887 0.379
Np3 0.767 0.767 0.767
Np4 0.887 0.379 0.379
N1 0.140 0.140 0.546
N2 0.140 0.546 0.140
N3 0.155 0.155 0.155
N4 0.166 0.642 0.642
N5 0.546 0.140 0.140
N6 0.620 0.620 0.620
N7 0.642 0.166 0.642
N8 0.642 0.642 0.166

Most intense lines, 2θ from 15° to 90°, sorted by position:
Position (°2θ)  I/Imax
15.81  31
25.87  37
30.27  100
30.47  24
31.65  30
45.42  16
48.35  25
48.54  17
52.83  22
53.20  19

---

Record 5
CsNbTeSe2: simulated PXRD pattern (CuKα), based on a PBE-relaxed structure.

Structure:
abc: 5.190 5.190 5.611
angles: 90.00 90.00 90.00
Sites, in units of the cell vectors:
Cs1 0.000 0.000 0.000
Nb1 0.500 0.500 0.500
Te1 0.500 0.500 0.000
Se1 0.000 0.500 0.500
Se2 0.500 0.000 0.500

Most intense lines, 2θ from 15° to 90°, sorted by position:
Position (°2θ)  I/Imax
23.35  18
24.25  28
29.07  100
31.90  50
34.56  81
47.74  64
49.68  28
58.60  27
60.26  32
77.33  27

---

Record 6
Fe7Co: simulated PXRD pattern (CuKα), based on a PBE-relaxed structure.

Structure:
abc: 4.027 4.027 5.677
angles: 90.00 90.00 90.00
Sites, in units of the cell vectors:
Fe1 0.000 0.000 0.000
Fe2 0.000 0.000 0.500
Fe3 0.000 0.500 0.249
Fe4 0.000 0.500 0.751
Fe5 0.500 0.000 0.249
Fe6 0.500 0.000 0.751
Fe7 0.500 0.500 0.500
Co1 0.500 0.500 0.000

Most intense lines, 2θ from 15° to 90°, sorted by position:
Position (°2θ)  I/Imax
45.07  100
65.57  10
65.80  5
83.14  19
83.29  9

---

Record 7
Tb3Er6PuTh2: simulated PXRD pattern (CuKα), based on a PBE-relaxed structure.

Structure:
abc: 9.349 9.349 9.349
angles: 148.92 116.31 72.56
Sites, in units of the cell vectors:
Tb1 0.000 0.000 0.000
Tb2 0.333 0.333 0.000
Tb3 0.667 0.667 0.000
Er1 0.085 0.834 0.251
Er2 0.251 0.500 0.751
Er3 0.417 0.166 0.251
Er4 0.583 0.834 0.749
Er5 0.749 0.500 0.249
Er6 0.915 0.166 0.749
Pu1 0.500 0.000 0.500
Th1 0.167 0.667 0.500
Th2 0.833 0.333 0.500

Most intense lines, 2θ from 15° to 90°, sorted by position:
Position (°2θ)  I/Imax
31.05  100
35.74  17
35.85  17
36.43  16
51.52  12
52.00  24
61.31  15
61.46  15
62.23  14
64.73  12

---

Record 8
Cs2ErAlSe4: simulated PXRD pattern (CuKα), based on a PBE-relaxed structure.

Structure:
abc: 15.301 13.696 8.192
angles: 84.74 63.04 32.22
Sites, in units of the cell vectors:
Cs1 0.054 0.054 0.696
Cs2 0.304 0.304 0.946
Cs3 0.696 0.696 0.054
Cs4 0.946 0.946 0.304
Er1 0.125 0.125 0.125
Er2 0.875 0.875 0.875
Al1 0.375 0.375 0.375
Al2 0.625 0.625 0.625
Se1 0.008 0.639 0.551
Se2 0.302 0.551 0.639
Se3 0.361 0.992 0.698
Se4 0.449 0.698 0.992
Se5 0.551 0.302 0.008
Se6 0.639 0.008 0.302
Se7 0.698 0.449 0.361
Se8 0.992 0.361 0.449

Most intense lines, 2θ from 15° to 90°, sorted by position:
Position (°2θ)  I/Imax
22.73  52
23.26  56
24.64  44
27.90  22
28.10  100
30.29  23
34.51  39
41.28  23
44.21  21
45.88  32

---

Record 9
Pa2Co12PH3: simulated PXRD pattern (CuKα), based on a PBE-relaxed structure.

Structure:
abc: 6.735 6.735 6.735
angles: 56.84 56.84 56.84
Sites, in units of the cell vectors:
Pa1 0.105 0.105 0.105
Pa2 0.895 0.895 0.895
Co1 0.074 0.634 0.634
Co2 0.211 0.211 0.596
Co3 0.211 0.596 0.211
Co4 0.366 0.366 0.926
Co5 0.366 0.926 0.366
Co6 0.404 0.789 0.789
Co7 0.596 0.211 0.211
Co8 0.634 0.074 0.634
Co9 0.634 0.634 0.074
Co10 0.789 0.404 0.789
Co11 0.789 0.789 0.404
Co12 0.926 0.366 0.366
P1 0.500 0.500 0.500
H1 0.000 0.500 0.500
H2 0.500 0.000 0.500
H3 0.500 0.500 0.000

Most intense lines, 2θ from 15° to 90°, sorted by position:
Position (°2θ)  I/Imax
16.81  49
26.53  28
27.83  29
32.69  41
38.83  85
42.14  100
44.49  35
48.53  29
57.50  36
78.48  27

---

Record 10
Ho2ErZrS4: simulated PXRD pattern (CuKα), based on a PBE-relaxed structure.

Structure:
abc: 6.633 3.843 6.638
angles: 90.00 109.72 90.00
Sites, in units of the cell vectors:
Ho1 0.000 0.000 0.000
Ho2 0.000 0.500 0.500
Er1 0.500 0.000 0.500
Zr1 0.500 0.500 0.000
S1 0.254 0.500 0.249
S2 0.256 0.000 0.754
S3 0.744 0.000 0.246
S4 0.746 0.500 0.751

Most intense lines, 2θ from 15° to 90°, sorted by position:
Position (°2θ)  I/Imax
28.46  38
28.58  38
33.05  100
47.43  47
56.23  24
56.42  12
58.90  12
59.17  12
78.99  16
88.14  12

---

Record 11
ScInIrN2: simulated PXRD pattern (CuKα), based on a PBE-relaxed structure.

Structure:
abc: 4.131 4.131 5.282
angles: 90.00 90.00 90.00
Sites, in units of the cell vectors:
Sc1 0.000 0.000 0.000
In1 0.500 0.500 0.500
Ir1 0.500 0.500 0.000
N1 0.000 0.500 0.500
N2 0.500 0.000 0.500

Most intense lines, 2θ from 15° to 90°, sorted by position:
Position (°2θ)  I/Imax
21.51  100
30.60  65
33.95  34
35.11  18
40.54  40
43.83  33
46.35  42
49.33  23
56.57  30
61.23  24

---

Record 12
Dy3Al2Ge3: simulated PXRD pattern (CuKα), based on a PBE-relaxed structure.

Structure:
abc: 5.955 5.955 14.496
angles: 90.00 90.00 138.97
Sites, in units of the cell vectors:
Dy1 0.061 0.939 0.615
Dy2 0.061 0.939 0.885
Dy3 0.352 0.648 0.750
Dy4 0.648 0.352 0.250
Dy5 0.939 0.061 0.115
Dy6 0.939 0.061 0.385
Al1 0.224 0.776 0.104
Al2 0.224 0.776 0.396
Al3 0.776 0.224 0.604
Al4 0.776 0.224 0.896
Ge1 0.368 0.632 0.250
Ge2 0.383 0.617 0.540
Ge3 0.383 0.617 0.960
Ge4 0.617 0.383 0.040
Ge5 0.617 0.383 0.460
Ge6 0.632 0.368 0.750

Most intense lines, 2θ from 15° to 90°, sorted by position:
Position (°2θ)  I/Imax
23.57  20
32.25  36
32.70  19
32.85  29
33.73  100
34.88  18
37.22  17
37.36  39
43.36  28
50.05  16